The following is a simulated X-ray powder pattern of HoCd. It was derived from DFT lattice parameters and positions (GGA-PBE), using a wavelength of 1.5418 Å.

Top 6 peaks for 2θ = 5–70°, in order of falling intensity:
| Position (°2θ) | I (rel.) | index |
| --- | --- | --- |
| 33.94 | 100.0 | 1 1 0 |
| 60.74 | 36.5 | 2 1 1 |
| 48.76 | 17.9 | 2 0 0 |
| 23.82 | 3.5 | 1 0 0 |
| 54.97 | 1.7 | 2 1 0 |
| 41.89 | 1.1 | 1 1 1 |

Structural model:
abc: 3.735 3.735 3.735
angles: 90.00 90.00 90.00
Atoms (fractional coordinates):
Ho (0.000, 0.000, 0.000)
Cd (0.500, 0.500, 0.500)

***

The following is a simulated X-ray powder pattern of PrYMg2. It was derived from DFT lattice parameters and positions (GGA-PBE), using a wavelength of 1.5418 Å.

Top 10 peaks for 2θ = 5–70°, in order of falling intensity:
| Position (°2θ) | I (rel.) | index |
| --- | --- | --- |
| 32.87 | 100.0 | 2 2 0 |
| 23.08 | 49.9 | 2 0 0 |
| 58.68 | 36.9 | 4 2 2 |
| 53.14 | 20.6 | 4 2 0 |
| 47.17 | 17.9 | 4 0 0 |
| 40.54 | 15.1 | 2 2 2 |
| 68.91 | 11.2 | 4 4 0 |
| 19.95 | 7.0 | 1 1 1 |
| 38.75 | 4.2 | 3 1 1 |
| 51.69 | 1.9 | 3 3 1 |

Structural model:
abc: 7.708 7.708 7.708
angles: 90.00 90.00 90.00
Atoms (fractional coordinates):
Pr (0.000, 0.000, 0.000)
Pr (0.000, 0.500, 0.500)
Pr (0.500, 0.000, 0.500)
Pr (0.500, 0.500, 0.000)
Y (0.000, 0.000, 0.500)
Y (0.000, 0.500, 0.000)
Y (0.500, 0.000, 0.000)
Y (0.500, 0.500, 0.500)
Mg (0.250, 0.250, 0.250)
Mg (0.250, 0.250, 0.750)
Mg (0.250, 0.750, 0.250)
Mg (0.250, 0.750, 0.750)
Mg (0.750, 0.250, 0.250)
Mg (0.750, 0.250, 0.750)
Mg (0.750, 0.750, 0.250)
Mg (0.750, 0.750, 0.750)

***

The following is a simulated X-ray powder pattern of Mg9Si5. It was derived from DFT lattice parameters and positions (GGA-PBE), using a wavelength of 1.5418 Å.

Top 10 peaks for 2θ = 5–70°, in order of falling intensity:
| Position (°2θ) | I (rel.) | index |
| --- | --- | --- |
| 38.27 | 100.0 | 2 2 4 |
| 37.91 | 88.4 | 1 3 1 |
| 35.31 | 80.1 | 2 1 4 |
| 42.38 | 79.2 | 0 3 0 |
| 31.68 | 78.0 | 1 2 3 |
| 42.56 | 69.8 | 3 0 1 |
| 37.71 | 69.5 | 3 1 1 |
| 34.59 | 63.5 | -1 1 3 |
| 34.97 | 60.7 | 1 2 -3 |
| 34.81 | 58.3 | 2 2 -2 |

Structural model:
abc: 7.256 7.283 12.219
angles: 84.81 79.19 61.43
Atoms (fractional coordinates):
Mg (0.000, 0.000, 0.000)
Mg (0.003, 0.664, 0.289)
Mg (0.043, 0.112, 0.639)
Mg (0.158, 0.697, 0.810)
Mg (0.209, 0.166, 0.320)
Mg (0.250, 0.759, 0.465)
Mg (0.291, 0.157, 0.065)
Mg (0.347, 0.751, 0.150)
Mg (0.375, 0.044, 0.810)
Mg (0.509, 0.335, 0.636)
Mg (0.513, 0.372, 0.311)
Mg (0.515, 0.013, 0.479)
Mg (0.571, 0.358, 0.018)
Mg (0.692, 0.502, 0.793)
Mg (0.707, 0.802, 0.975)
Mg (0.774, 0.503, 0.477)
Mg (0.831, 0.807, 0.640)
Mg (0.836, 0.453, 0.159)
Si (0.102, 0.414, 0.711)
Si (0.130, 0.572, 0.036)
Si (0.179, 0.426, 0.484)
Si (0.452, 0.757, 0.645)
Si (0.575, 0.759, 0.310)
Si (0.635, 0.017, 0.180)
Si (0.742, 0.089, 0.818)
Si (0.849, 0.096, 0.462)
Si (0.932, 0.062, 0.241)
Si (0.993, 0.388, 0.928)

***

The following is a simulated X-ray powder pattern of HfTl4Se4. It was derived from DFT lattice parameters and positions (GGA-PBE), using a wavelength of 1.5418 Å.

Top 10 peaks for 2θ = 5–70°, in order of falling intensity:
| Position (°2θ) | I (rel.) | index |
| --- | --- | --- |
| 29.07 | 100.0 | 0 0 5 |
| 29.64 | 84.7 | 3 1 -2 |
| 29.58 | 81.2 | 1 -3 1 |
| 24.72 | 42.9 | 1 2 1 |
| 25.22 | 37.5 | 2 -1 2 |
| 26.15 | 36.0 | 1 2 -4 |
| 25.55 | 35.1 | -2 1 3 |
| 42.65 | 33.3 | 1 -3 6 |
| 40.85 | 32.0 | 3 1 3 |
| 42.44 | 29.8 | 2 4 -3 |

Structural model:
abc: 9.549 9.549 16.424
angles: 104.26 104.71 90.12
Atoms (fractional coordinates):
Hf (0.000, 0.000, 0.000)
Hf (0.017, 0.184, 0.600)
Hf (0.174, 0.808, 0.199)
Hf (0.826, 0.192, 0.801)
Hf (0.983, 0.816, 0.400)
Tl (0.048, 0.580, 0.800)
Tl (0.215, 0.219, 0.400)
Tl (0.221, 0.586, 0.594)
Tl (0.222, 0.953, 0.796)
Tl (0.225, 0.397, 0.992)
Tl (0.376, 0.596, 0.387)
Tl (0.388, 0.201, 0.191)
Tl (0.392, 0.782, 0.003)
Tl (0.412, 0.966, 0.598)
Tl (0.421, 0.400, 0.799)
Tl (0.579, 0.600, 0.201)
Tl (0.588, 0.034, 0.402)
Tl (0.608, 0.218, 0.997)
Tl (0.612, 0.799, 0.809)
Tl (0.624, 0.404, 0.613)
Tl (0.775, 0.603, 0.008)
Tl (0.778, 0.047, 0.204)
Tl (0.779, 0.414, 0.406)
Tl (0.785, 0.781, 0.600)
Tl (0.952, 0.420, 0.200)
Se (0.062, 0.549, 0.401)
Se (0.070, 0.897, 0.578)
Se (0.074, 0.733, 0.020)
Se (0.089, 0.080, 0.178)
Se (0.094, 0.240, 0.776)
Se (0.241, 0.537, 0.192)
Se (0.251, 0.885, 0.377)
Se (0.271, 0.071, 0.996)
Se (0.287, 0.259, 0.603)
Se (0.444, 0.883, 0.199)
Se (0.556, 0.117, 0.801)
Se (0.713, 0.741, 0.397)
Se (0.729, 0.929, 0.004)
Se (0.749, 0.115, 0.623)
Se (0.759, 0.463, 0.808)
Se (0.906, 0.760, 0.224)
Se (0.911, 0.920, 0.822)
Se (0.926, 0.267, 0.980)
Se (0.930, 0.103, 0.422)
Se (0.938, 0.451, 0.599)

***

The following is a simulated X-ray powder pattern of SrLa4TiAl4O15. It was derived from DFT lattice parameters and positions (GGA-PBE), using a wavelength of 1.5418 Å.

Top 10 peaks for 2θ = 5–70°, in order of falling intensity:
| Position (°2θ) | I (rel.) | index |
| --- | --- | --- |
| 33.00 | 100.0 | 2 0 0 |
| 23.17 | 36.4 | 0 1 0 |
| 58.89 | 25.4 | 2 2 0 |
| 47.42 | 24.3 | 2 0 10 |
| 40.74 | 19.5 | 2 1 0 |
| 40.68 | 19.1 | 0 1 10 |
| 69.18 | 14.3 | 2 2 10 |
| 59.01 | 13.0 | 3 1 5 |
| 47.25 | 12.6 | 0 2 0 |
| 53.41 | 11.3 | 3 0 5 |

Structural model:
abc: 5.418 3.847 27.138
angles: 90.00 90.00 90.00
Atoms (fractional coordinates):
Sr (0.250, 0.000, 0.053)
Sr (0.750, 0.000, 0.947)
La (0.250, 0.000, 0.251)
La (0.250, 0.000, 0.450)
La (0.250, 0.000, 0.649)
La (0.250, 0.000, 0.846)
La (0.750, 0.000, 0.154)
La (0.750, 0.000, 0.351)
La (0.750, 0.000, 0.550)
La (0.750, 0.000, 0.749)
Ti (0.250, 0.500, 0.948)
Ti (0.750, 0.500, 0.052)
Al (0.250, 0.500, 0.153)
Al (0.250, 0.500, 0.351)
Al (0.250, 0.500, 0.550)
Al (0.250, 0.500, 0.748)
Al (0.750, 0.500, 0.252)
Al (0.750, 0.500, 0.450)
Al (0.750, 0.500, 0.649)
Al (0.750, 0.500, 0.847)
O (0.000, 0.500, 0.000)
O (0.000, 0.500, 0.302)
O (0.000, 0.500, 0.401)
O (0.000, 0.500, 0.500)
O (0.000, 0.500, 0.599)
O (0.000, 0.500, 0.698)
O (0.001, 0.500, 0.797)
O (0.001, 0.500, 0.896)
O (0.250, 0.000, 0.155)
O (0.250, 0.000, 0.351)
O (0.250, 0.000, 0.550)
O (0.250, 0.000, 0.748)
O (0.250, 0.000, 0.946)
O (0.499, 0.500, 0.797)
O (0.499, 0.500, 0.896)
O (0.500, 0.500, 0.000)
O (0.500, 0.500, 0.302)
O (0.500, 0.500, 0.401)
O (0.500, 0.500, 0.500)
O (0.500, 0.500, 0.599)
O (0.500, 0.500, 0.698)
O (0.501, 0.500, 0.104)
O (0.501, 0.500, 0.203)
O (0.750, 0.000, 0.054)
O (0.750, 0.000, 0.252)
O (0.750, 0.000, 0.450)
O (0.750, 0.000, 0.649)
O (0.750, 0.000, 0.845)
O (0.999, 0.500, 0.104)
O (0.999, 0.500, 0.203)

***

The following is a simulated X-ray powder pattern of AuBr4N. It was derived from DFT lattice parameters and positions (GGA-PBE), using a wavelength of 1.5418 Å.

Top 10 peaks for 2θ = 5–70°, in order of falling intensity:
| Position (°2θ) | I (rel.) | index |
| --- | --- | --- |
| 17.02 | 100.0 | 0 1 1 |
| 28.71 | 60.9 | 1 1 -3 |
| 13.58 | 51.7 | 1 0 0 |
| 16.86 | 37.9 | 1 0 -2 |
| 18.33 | 33.1 | 1 1 -1 |
| 44.79 | 29.3 | 1 2 -4 |
| 32.98 | 26.3 | 1 2 -2 |
| 27.36 | 24.9 | 2 0 0 |
| 21.96 | 20.2 | 1 1 -2 |
| 34.44 | 20.0 | 0 2 2 |

Structural model:
abc: 7.670 6.345 10.730
angles: 90.00 121.80 90.00
Atoms (fractional coordinates):
Au (0.000, 0.000, 0.000)
Au (0.000, 0.500, 0.500)
Br (0.040, 0.212, 0.665)
Br (0.040, 0.288, 0.165)
Br (0.372, 0.517, 0.616)
Br (0.372, 0.983, 0.116)
Br (0.628, 0.017, 0.884)
Br (0.628, 0.483, 0.384)
Br (0.960, 0.712, 0.835)
Br (0.960, 0.788, 0.335)
N (0.500, 0.000, 0.500)
N (0.500, 0.500, 0.000)

***

The following is a simulated X-ray powder pattern of TaCoGe. It was derived from DFT lattice parameters and positions (GGA-PBE), using a wavelength of 1.5418 Å.

Top 10 peaks for 2θ = 5–70°, in order of falling intensity:
| Position (°2θ) | I (rel.) | index |
| --- | --- | --- |
| 39.35 | 100.0 | 2 1 1 |
| 37.55 | 76.3 | 1 1 2 |
| 40.37 | 33.1 | 1 0 3 |
| 48.65 | 30.2 | 0 2 0 |
| 26.87 | 22.2 | 0 1 1 |
| 45.03 | 20.3 | 0 1 3 |
| 37.94 | 19.7 | 2 0 2 |
| 65.00 | 16.3 | 1 2 3 |
| 44.79 | 15.6 | 3 0 1 |
| 58.36 | 14.0 | 4 0 0 |

Structural model:
abc: 6.328 3.743 7.164
angles: 90.00 90.00 90.00
Atoms (fractional coordinates):
Ta (0.020, 0.250, 0.181)
Ta (0.480, 0.750, 0.681)
Ta (0.520, 0.250, 0.319)
Ta (0.980, 0.750, 0.819)
Co (0.142, 0.250, 0.564)
Co (0.358, 0.750, 0.064)
Co (0.642, 0.250, 0.936)
Co (0.858, 0.750, 0.436)
Ge (0.228, 0.750, 0.381)
Ge (0.272, 0.250, 0.881)
Ge (0.728, 0.750, 0.119)
Ge (0.772, 0.250, 0.619)

***

The following is a simulated X-ray powder pattern of UTeS. It was derived from DFT lattice parameters and positions (GGA-PBE), using a wavelength of 1.5418 Å.

Top 10 peaks for 2θ = 5–70°, in order of falling intensity:
| Position (°2θ) | I (rel.) | index |
| --- | --- | --- |
| 33.10 | 100.0 | 2 1 1 |
| 31.38 | 76.9 | 1 1 2 |
| 22.98 | 69.7 | 1 0 2 |
| 26.08 | 67.0 | 1 1 1 |
| 38.76 | 32.9 | 1 1 3 |
| 42.92 | 32.7 | 0 2 0 |
| 36.48 | 31.9 | 3 0 1 |
| 40.26 | 26.4 | 0 0 4 |
| 44.00 | 24.0 | 2 1 3 |
| 36.88 | 23.9 | 0 1 3 |

Structural model:
abc: 7.684 4.215 8.961
angles: 90.00 90.00 90.00
Atoms (fractional coordinates):
U (0.204, 0.250, 0.121)
U (0.296, 0.750, 0.621)
U (0.704, 0.250, 0.379)
U (0.796, 0.750, 0.879)
Te (0.025, 0.750, 0.341)
Te (0.475, 0.250, 0.841)
Te (0.525, 0.750, 0.159)
Te (0.975, 0.250, 0.659)
S (0.149, 0.750, 0.928)
S (0.351, 0.250, 0.428)
S (0.649, 0.750, 0.572)
S (0.851, 0.250, 0.072)